1.
The following is a theoretical X-ray powder pattern of Nd2Si2O7. It was derived from a PBE-relaxed structure, using CuKα.

Crystal structure
```
data_Nd2Si2O7
_chemical_formula_sum 'Nd8 Si8 O28'
_symmetry_space_group_name_H-M 'P -1'
_symmetry_Int_Tables_number 2
_cell_length_a 6.7328
_cell_length_b 6.7929
_cell_length_c 12.2415
_cell_angle_alpha 93.83
_cell_angle_beta 90.23
_cell_angle_gamma 91.10
loop_
_symmetry_equiv_pos_as_xyz
'x,y,z'
'-x,-y,-z'
loop_
_atom_site_label
_atom_site_type_symbol
_atom_site_fract_x
_atom_site_fract_y
_atom_site_fract_z
Nd1 Nd 0.0540 0.3263 0.1182
Nd2 Nd 0.1198 0.0806 0.3615
Nd3 Nd 0.3398 0.8252 0.1044
Nd4 Nd 0.3618 0.2523 0.6272
Si1 Si 0.1503 0.6210 0.3889
Si2 Si 0.1528 0.1554 0.8826
Si3 Si 0.3723 0.7398 0.5979
Si4 Si 0.4878 0.6753 0.8258
O1 O 0.0022 0.6653 0.0807
O2 O 0.0016 0.9961 0.8173
O3 O 0.0269 0.2340 0.5642
O4 O 0.0752 0.4205 0.3220
O5 O 0.2269 0.9205 0.6201
O6 O 0.2459 0.0958 0.9986
O7 O 0.2916 0.7675 0.3184
O8 O 0.2928 0.5739 0.4985
O9 O 0.3040 0.7186 0.9077
O10 O 0.3386 0.2209 0.8096
O11 O 0.3651 0.4862 0.1282
O12 O 0.3731 0.1386 0.2093
O13 O 0.3916 0.5931 0.7005
O14 O 0.4199 0.1703 0.4433
```

Top 12 peaks for 5 to 70 degrees two-theta, by angle:
Position (°2θ)  d_spacing  I_rel
19.79  4.487  17
20.09  4.420  34
20.48  4.337  17
26.30  3.389  26
27.47  3.247  17
29.26  3.052  100
29.81  2.997  23
30.25  2.954  26
30.39  2.941  17
31.03  2.882  43
42.18  2.142  17
49.13  1.854  20

=====

2.
The following is a theoretical X-ray powder pattern of Cs2PdI2Cl2. It was derived from a PBE-relaxed structure, using CuKα.

Crystal structure
```
data_Cs2PdI2Cl2
_chemical_formula_sum 'Cs4 Pd2 I4 Cl4'
_symmetry_space_group_name_H-M 'C m m m'
_symmetry_Int_Tables_number 65
_symmetry_space_group_name_Hall '-C 2 2'
_cell_length_a 9.9136
_cell_length_b 12.2197
_cell_length_c 4.9691
_cell_angle_alpha 90.00
_cell_angle_beta 90.00
_cell_angle_gamma 90.00
loop_
_atom_site_label
_atom_site_type_symbol
_atom_site_fract_x
_atom_site_fract_y
_atom_site_fract_z
Cs1 Cs 0.2500 0.2500 0.0000
Pd1 Pd 0.0000 0.0000 0.5000
I1 I 0.2320 0.5000 0.5000
Cl1 Cl 0.0000 0.1919 0.5000
```

Top 12 peaks for 5 to 70 degrees two-theta, by angle:
Position (°2θ)  d_spacing  I_rel
11.49  7.699  18
17.88  4.960  38
23.07  3.855  100
29.23  3.055  34
29.35  3.043  68
34.48  2.601  18
36.20  2.482  44
43.40  2.085  34
47.19  1.926  34
48.30  1.884  19
60.89  1.522  23
61.85  1.500  17

=====

3.
The following is a theoretical X-ray powder pattern of Zr3Al3CuNiIr. It was derived from a PBE-relaxed structure, using CuKα.

Crystal structure
```
data_Zr3Al3CuNiIr
_chemical_formula_sum 'Zr3 Al3 Cu1 Ni1 Ir1'
_symmetry_space_group_name_H-M 'P -6'
_symmetry_Int_Tables_number 174
_cell_length_a 7.0322
_cell_length_b 7.0322
_cell_length_c 3.5345
_cell_angle_alpha 90.00
_cell_angle_beta 90.00
_cell_angle_gamma 120.00
loop_
_symmetry_equiv_pos_as_xyz
'x,y,z'
'-x+y,-x,-z'
'-y,x-y,z'
'x,y,-z'
'-x+y,-x,z'
'-y,x-y,-z'
loop_
_atom_site_label
_atom_site_type_symbol
_atom_site_fract_x
_atom_site_fract_y
_atom_site_fract_z
Zr1 Zr 0.0698 0.7336 0.0000
Al1 Al 0.4182 0.0884 0.5000
Cu1 Cu 0.0000 0.0000 0.5000
Ni1 Ni 0.6667 0.3333 0.0000
Ir1 Ir 0.3333 0.6667 0.5000
```

Top 12 peaks for 5 to 70 degrees two-theta, by angle:
Position (°2θ)  d_spacing  I_rel
14.54  6.090  53
25.33  3.516  39
29.21  3.057  22
36.03  2.493  88
39.07  2.306  100
44.64  2.030  40
47.12  1.929  33
51.73  1.767  16
52.01  1.758  11
54.31  1.689  14
60.78  1.524  15
66.73  1.402  11